Entry 1:
For NaLi2BrCl2, a structure optimized by DFT (GGA-PBE) gives the computed X-ray diffraction stick pattern in this record (Cu Kα).
Intensities are scaled so that the largest is 100.

Structure:
```
data_NaLi2BrCl2
_chemical_formula_sum 'Na2 Li4 Br2 Cl4'
_space_group_name_H-M_alt 'P 1 21/m 1'
_space_group_IT_number 11
_cell_length_a 5.4407
_cell_length_b 6.1577
_cell_length_c 9.4705
_cell_angle_alpha 90.00
_cell_angle_beta 102.45
_cell_angle_gamma 90.00
loop_
_space_group_symop_operation_xyz
'x,y,z'
'-x,-y,-z'
'-x,y+1/2,-z'
'x,-y+1/2,z'
loop_
_atom_site_label
_atom_site_type_symbol
_atom_site_fract_x
_atom_site_fract_y
_atom_site_fract_z
_atom_site_occupancy
Na1 Na 0.1707 0.2500 0.1019 1
Li1 Li 0.1136 0.0095 0.6712 1
Br1 Br 0.2275 0.2500 0.4761 1
Cl1 Cl 0.0652 0.7500 0.1836 1
Cl2 Cl 0.3226 0.7500 0.8319 1
```

Principal peaks in the range 10° ≤ 2θ ≤ 90°, by angle:
hkl, Position (°2θ), d [Å], I/Imax
1 0 0, 16.69, 5.313, 20
1 1 0, 22.10, 4.022, 24
1 1 -1, 22.62, 3.931, 19
1 1 1, 25.55, 3.486, 85
1 1 -2, 26.90, 3.315, 99
0 2 0, 28.99, 3.080, 100
1 1 2, 31.78, 2.816, 20
2 0 -1, 33.02, 2.713, 21
0 2 3, 41.45, 2.178, 38
2 2 -1, 44.51, 2.036, 23
1 1 4, 48.54, 1.875, 20
1 1 -5, 50.86, 1.795, 17

Entry 2:
For Pu3ScSb4, a structure optimized by DFT (GGA-PBE) gives the computed X-ray diffraction stick pattern in this record (Cu Kα).
Intensities are scaled so that the largest is 100.

Structure:
```
data_Pu3ScSb4
_chemical_formula_sum 'Pu6 Sc2 Sb8'
_space_group_name_H-M_alt 'P 1 2/c 1'
_space_group_IT_number 13
_cell_length_a 7.5423
_cell_length_b 8.7283
_cell_length_c 7.5648
_cell_angle_alpha 90.00
_cell_angle_beta 109.53
_cell_angle_gamma 90.00
loop_
_space_group_symop_operation_xyz
'x,y,z'
'-x,-y,-z'
'-x,y,-z+1/2'
'x,-y,z+1/2'
loop_
_atom_site_label
_atom_site_type_symbol
_atom_site_fract_x
_atom_site_fract_y
_atom_site_fract_z
_atom_site_occupancy
Pu1 Pu 0.0000 0.1239 0.2500 1
Pu2 Pu 0.0000 0.3728 0.7500 1
Pu3 Pu 0.5000 0.3730 0.2500 1
Sc1 Sc 0.5000 0.1244 0.7500 1
Sb1 Sb 0.2558 0.3701 0.5055 1
Sb2 Sb 0.2618 0.1185 0.0010 1
```

Principal peaks in the range 10° ≤ 2θ ≤ 90°, by angle:
hkl, Position (°2θ), d [Å], I/Imax
1 1 0, 16.07, 5.517, 5
2 0 0, 25.00, 3.561, 8
1 2 1, 28.95, 3.084, 100
1 2 -3, 41.40, 2.181, 76
0 0 4, 51.27, 1.782, 21
4 0 0, 51.42, 1.777, 7
4 0 -4, 59.99, 1.542, 13
3 2 -5, 67.90, 1.380, 18
3 2 3, 68.03, 1.378, 17
2 0 -6, 75.45, 1.260, 15
5 2 1, 75.66, 1.257, 6
2 4 -6, 89.87, 1.091, 4

Entry 3:
For Ho4ZnPd2, a structure optimized by DFT (GGA-PBE) gives the computed X-ray diffraction stick pattern in this record (Cu Kα).
Intensities are scaled so that the largest is 100.

Structure:
```
data_Ho4ZnPd2
_chemical_formula_sum 'Ho12 Zn3 Pd6'
_space_group_name_H-M_alt 'R -3 m'
_space_group_IT_number 166
_space_group_name_Hall '-R 3 2"'
_cell_length_a 4.7653
_cell_length_b 4.7653
_cell_length_c 27.0423
_cell_angle_alpha 90.00
_cell_angle_beta 90.00
_cell_angle_gamma 120.00
loop_
_atom_site_label
_atom_site_type_symbol
_atom_site_fract_x
_atom_site_fract_y
_atom_site_fract_z
_atom_site_occupancy
Ho1 Ho 0.0000 0.0000 0.1204 1
Ho2 Ho 0.0000 0.0000 0.2947 1
Zn1 Zn 0.0000 0.0000 0.5000 1
Pd1 Pd 0.0000 0.0000 0.4038 1
```

Principal peaks in the range 10° ≤ 2θ ≤ 90°, by angle:
hkl, Position (°2θ), d [Å], I/Imax
1 0 4, 25.28, 3.522, 24
0 1 5, 27.18, 3.281, 51
1 0 7, 31.73, 2.820, 47
1 1 0, 37.76, 2.383, 100
1 0 10, 39.86, 2.262, 45
0 1 11, 42.82, 2.112, 13
0 2 7, 50.12, 1.820, 13
0 2 10, 56.06, 1.640, 17
1 1 12, 56.18, 1.637, 13
0 1 17, 62.58, 1.484, 13
3 0 0, 68.17, 1.376, 17
2 1 10, 69.58, 1.351, 17

Entry 4:
For Ti7As2C2, a structure optimized by DFT (GGA-PBE) gives the computed X-ray diffraction stick pattern in this record (Cu Kα).
Intensities are scaled so that the largest is 100.

Structure:
```
data_Ti7As2C2
_chemical_formula_sum 'Ti14 As4 C4'
_space_group_name_H-M_alt 'I m m 2'
_space_group_IT_number 44
_cell_length_a 3.1301
_cell_length_b 13.1265
_cell_length_c 7.5342
_cell_angle_alpha 90.00
_cell_angle_beta 90.00
_cell_angle_gamma 90.00
loop_
_space_group_symop_operation_xyz
'x,y,z'
'-x,-y,z'
'-x,y,z'
'x,-y,z'
'x+1/2,y+1/2,z+1/2'
'-x+1/2,-y+1/2,z+1/2'
'-x+1/2,y+1/2,z+1/2'
'x+1/2,-y+1/2,z+1/2'
loop_
_atom_site_label
_atom_site_type_symbol
_atom_site_fract_x
_atom_site_fract_y
_atom_site_fract_z
_atom_site_occupancy
Ti1 Ti 0.0000 0.0000 0.0000 1
Ti2 Ti 0.0000 0.1316 0.4147 1
Ti3 Ti 0.0000 0.3181 0.6117 1
Ti4 Ti 0.0000 0.3370 0.2553 1
As1 As 0.0000 0.0000 0.6693 1
As2 As 0.0000 0.5000 0.7640 1
C1 C 0.0000 0.2544 0.9153 1
```

Principal peaks in the range 10° ≤ 2θ ≤ 90°, by angle:
hkl, Position (°2θ), d [Å], I/Imax
0 2 0, 13.51, 6.554, 27
1 0 1, 30.94, 2.891, 30
1 2 1, 33.89, 2.645, 54
1 3 0, 35.25, 2.546, 27
1 1 2, 38.00, 2.368, 41
0 6 0, 41.27, 2.188, 47
0 3 3, 41.46, 2.178, 92
1 4 1, 41.64, 2.169, 100
1 3 2, 42.88, 2.109, 62
1 2 3, 48.50, 1.877, 32
2 0 0, 59.02, 1.565, 27
2 3 3, 74.68, 1.271, 28